Y4HoEr5: theoretical powder XRD pattern (a wavelength of 1.5418 Å), based on a crystal structure in Alexandria, relaxed with PBE.

Structural model:
Cell lengths 3.543, 6.731, 13.849 Å; angles 97.41, 90.15, 104.90 degrees
Positions (direct):
1 Y 0.125 0.204 0.307
2 Y 0.176 0.326 0.713
3 Y 0.824 0.674 0.287
4 Y 0.875 0.796 0.693
5 Ho 0.000 0.500 0.500
6 Er 0.186 0.375 0.083
7 Er 0.464 0.919 0.113
8 Er 0.500 0.000 0.500
9 Er 0.536 0.081 0.887
10 Er 0.814 0.625 0.917

Peak list (10 most intense, 2θ = 15–90°, by intensity)
| 2θ (°) | I_rel |
| --- | --- |
| 32.2 | 100 |
| 32.6 | 96 |
| 31.7 | 65 |
| 29.6 | 44 |
| 49.0 | 25 |
| 57.4 | 21 |
| 32.1 | 20 |
| 32.9 | 18 |
| 34.1 | 13 |
| 43.3 | 12 |

=====

YHo2Er: theoretical powder XRD pattern (a wavelength of 1.5418 Å), based on a crystal structure in Alexandria, relaxed with PBE.

Structural model:
Cell lengths 6.916, 6.905, 10.931 Å; angles 90.00, 90.03, 90.00 degrees
Positions (direct):
1 Y 0.126 0.125 0.387
2 Y 0.126 0.875 0.887
3 Y 0.874 0.125 0.113
4 Y 0.874 0.875 0.613
5 Ho 0.125 0.376 0.888
6 Ho 0.125 0.624 0.388
7 Ho 0.376 0.126 0.112
8 Ho 0.376 0.874 0.612
9 Ho 0.624 0.126 0.388
10 Ho 0.624 0.874 0.888
11 Ho 0.875 0.376 0.612
12 Ho 0.875 0.624 0.112
13 Er 0.375 0.375 0.613
14 Er 0.375 0.625 0.113
15 Er 0.625 0.375 0.887
16 Er 0.625 0.625 0.387

Peak list (10 most intense, 2θ = 15–90°, by intensity)
| 2θ (°) | I_rel |
| --- | --- |
| 30.6 | 100 |
| 37.7 | 68 |
| 27.1 | 59 |
| 35.8 | 49 |
| 32.8 | 38 |
| 56.5 | 31 |
| 65.6 | 28 |
| 62.5 | 26 |
| 53.0 | 22 |
| 44.7 | 20 |

=====

Y2Ho3Er7: theoretical powder XRD pattern (a wavelength of 1.5418 Å), based on a crystal structure in Alexandria, relaxed with PBE.

Structural model:
Cell lengths 18.940, 18.940, 3.565 Å; angles 90.00, 90.00, 162.91 degrees
Positions (direct):
1 Y 0.147 0.853 0.000
2 Y 0.853 0.147 0.000
3 Ho 0.314 0.686 0.500
4 Ho 0.500 0.500 0.500
5 Ho 0.686 0.314 0.500
6 Er 0.000 0.000 0.000
7 Er 0.071 0.929 0.500
8 Er 0.231 0.769 0.000
9 Er 0.409 0.591 0.000
10 Er 0.591 0.409 0.000
11 Er 0.769 0.231 0.000
12 Er 0.929 0.071 0.500

Peak list (10 most intense, 2θ = 15–90°, by intensity)
| 2θ (°) | I_rel |
| --- | --- |
| 32.0 | 100 |
| 31.8 | 49 |
| 30.7 | 34 |
| 34.2 | 24 |
| 31.5 | 22 |
| 35.0 | 20 |
| 56.8 | 20 |
| 28.6 | 16 |
| 45.4 | 16 |
| 61.6 | 15 |

=====

Y2Ho12Er: theoretical powder XRD pattern (a wavelength of 1.5418 Å), based on a crystal structure in Alexandria, relaxed with PBE.

Structural model:
Cell lengths 6.501, 6.502, 24.688 Å; angles 86.85, 82.49, 65.05 degrees
Positions (direct):
1 Y 0.135 0.497 0.232
2 Y 0.365 0.001 0.768
3 Y 0.635 0.999 0.232
4 Y 0.865 0.503 0.768
5 Ho 0.020 0.751 0.958
6 Ho 0.047 0.252 0.905
7 Ho 0.115 0.010 0.299
8 Ho 0.160 0.988 0.167
9 Ho 0.178 0.252 0.641
10 Ho 0.212 0.751 0.573
11 Ho 0.288 0.748 0.427
12 Ho 0.316 0.247 0.373
13 Ho 0.325 0.493 0.833
14 Ho 0.411 0.515 0.701
15 Ho 0.449 0.249 0.102
16 Ho 0.481 0.749 0.038
17 Ho 0.519 0.251 0.962
18 Ho 0.551 0.751 0.898
19 Ho 0.589 0.485 0.299
20 Ho 0.675 0.507 0.167
21 Ho 0.684 0.753 0.627
22 Ho 0.712 0.252 0.573
23 Ho 0.788 0.249 0.427
24 Ho 0.822 0.748 0.359
25 Ho 0.840 0.012 0.833
26 Ho 0.885 0.990 0.701
27 Ho 0.953 0.748 0.095
28 Ho 0.980 0.249 0.042
29 Er 0.247 0.250 0.506
30 Er 0.753 0.750 0.494

Peak list (10 most intense, 2θ = 15–90°, by intensity)
| 2θ (°) | I_rel |
| --- | --- |
| 31.9 | 100 |
| 31.2 | 75 |
| 32.7 | 49 |
| 32.6 | 37 |
| 46.8 | 27 |
| 62.6 | 22 |
| 57.8 | 18 |
| 63.1 | 15 |
| 58.1 | 14 |
| 52.3 | 13 |

=====

Y12Ho7Er: theoretical powder XRD pattern (a wavelength of 1.5418 Å), based on a crystal structure in Alexandria, relaxed with PBE.

Structural model:
Cell lengths 8.681, 8.681, 8.681 Å; angles 95.07, 95.07, 95.07 degrees
Positions (direct):
1 Y 0.018 0.350 0.082
2 Y 0.082 0.018 0.350
3 Y 0.190 0.318 0.749
4 Y 0.251 0.810 0.682
5 Y 0.318 0.749 0.190
6 Y 0.350 0.082 0.018
7 Y 0.650 0.918 0.982
8 Y 0.682 0.251 0.810
9 Y 0.749 0.190 0.318
10 Y 0.810 0.682 0.251
11 Y 0.918 0.982 0.650
12 Y 0.982 0.650 0.918
13 Ho 0.000 0.000 0.000
14 Ho 0.147 0.476 0.414
15 Ho 0.414 0.147 0.476
16 Ho 0.476 0.414 0.147
17 Ho 0.524 0.586 0.853
18 Ho 0.586 0.853 0.524
19 Ho 0.853 0.524 0.586
20 Er 0.500 0.500 0.500

Peak list (10 most intense, 2θ = 15–90°, by intensity)
| 2θ (°) | I_rel |
| --- | --- |
| 31.9 | 100 |
| 29.8 | 48 |
| 30.8 | 37 |
| 39.4 | 37 |
| 42.3 | 24 |
| 55.5 | 19 |
| 20.6 | 15 |
| 59.4 | 13 |
| 51.4 | 13 |
| 27.4 | 13 |

=====

Y7HoEr12: theoretical powder XRD pattern (a wavelength of 1.5418 Å), based on a crystal structure in Alexandria, relaxed with PBE.

Structural model:
Cell lengths 8.634, 8.634, 8.634 Å; angles 95.09, 95.09, 95.09 degrees
Positions (direct):
1 Y 0.000 0.000 0.000
2 Y 0.149 0.483 0.418
3 Y 0.418 0.149 0.483
4 Y 0.483 0.418 0.149
5 Y 0.517 0.582 0.851
6 Y 0.582 0.851 0.517
7 Y 0.851 0.517 0.582
8 Ho 0.500 0.500 0.500
9 Er 0.021 0.354 0.085
10 Er 0.085 0.021 0.354
11 Er 0.182 0.311 0.751
12 Er 0.249 0.818 0.689
13 Er 0.311 0.751 0.182
14 Er 0.354 0.085 0.021
15 Er 0.646 0.915 0.979
16 Er 0.689 0.249 0.818
17 Er 0.751 0.182 0.311
18 Er 0.818 0.689 0.249
19 Er 0.915 0.979 0.646
20 Er 0.979 0.646 0.915

Peak list (10 most intense, 2θ = 15–90°, by intensity)
| 2θ (°) | I_rel |
| --- | --- |
| 32.1 | 100 |
| 29.9 | 80 |
| 31.0 | 49 |
| 39.6 | 29 |
| 42.5 | 24 |
| 27.5 | 20 |
| 24.2 | 20 |
| 55.9 | 17 |
| 51.7 | 17 |
| 59.8 | 14 |

=====

Repeat the third record exactly.
Y2Ho3Er7: theoretical powder XRD pattern (a wavelength of 1.5418 Å), based on a crystal structure in Alexandria, relaxed with PBE.

Structural model:
Cell lengths 18.940, 18.940, 3.565 Å; angles 90.00, 90.00, 162.91 degrees
Positions (direct):
1 Y 0.147 0.853 0.000
2 Y 0.853 0.147 0.000
3 Ho 0.314 0.686 0.500
4 Ho 0.500 0.500 0.500
5 Ho 0.686 0.314 0.500
6 Er 0.000 0.000 0.000
7 Er 0.071 0.929 0.500
8 Er 0.231 0.769 0.000
9 Er 0.409 0.591 0.000
10 Er 0.591 0.409 0.000
11 Er 0.769 0.231 0.000
12 Er 0.929 0.071 0.500

Peak list (10 most intense, 2θ = 15–90°, by intensity)
| 2θ (°) | I_rel |
| --- | --- |
| 32.0 | 100 |
| 31.8 | 49 |
| 30.7 | 34 |
| 34.2 | 24 |
| 31.5 | 22 |
| 35.0 | 20 |
| 56.8 | 20 |
| 28.6 | 16 |
| 45.4 | 16 |
| 61.6 | 15 |